Diffraction record for BaTm2Mg9. The X-ray powder pattern is calculated, not measured: it uses DFT lattice parameters and positions (PBE) and Cu Kα (weighted mean of Kα1 and Kα2).

Cell and atoms:
```
BaTm2Mg9
1.0
3.075 1.775 9.955
-3.075 1.775 9.955
0.000 -3.551 9.955
Ba Tm Mg
1 2 9
Direct
0.000 0.000 0.000
0.150 0.150 0.150
0.850 0.850 0.850
0.081 0.590 0.590
0.334 0.334 0.334
0.410 0.410 0.919
0.410 0.919 0.410
0.500 0.500 0.500
0.590 0.081 0.590
0.590 0.590 0.081
0.666 0.666 0.666
0.919 0.410 0.410
```

Most intense lines, 10° ≤ 2θ ≤ 90°, low angle first:
| 2θ/deg | Rel. int. |
| --- | --- |
| 16.9 | 53.3 |
| 17.8 | 30.2 |
| 26.8 | 63.7 |
| 29.0 | 66.3 |
| 33.8 | 30.8 |
| 34.3 | 100.0 |
| 50.1 | 23.8 |
| 54.9 | 28.5 |